Entry 1:
KTm2PuO8: theoretical powder diffractogram (a wavelength of 1.5418 Å), based on a DFT-relaxed cell (PBE, Alexandria).

Structure:
```
data_KTm2PuO8
_space_group_name_H-M_alt 'P 1 2/m 1'
_space_group_IT_number 10
_cell_length_a 5.0482
_cell_length_b 7.5543
_cell_length_c 5.0569
_cell_angle_alpha 90.00
_cell_angle_beta 90.01
_cell_angle_gamma 90.00
loop_
_space_group_symop_operation_xyz
'x,y,z'
'-x,-y,-z'
'-x,y,-z'
'x,-y,z'
loop_
_atom_site_label
_atom_site_type_symbol
_atom_site_fract_x
_atom_site_fract_y
_atom_site_fract_z
K1 K 0.0000 0.0000 0.0000
Tm1 Tm 0.5000 0.2831 0.5000
Pu1 Pu 0.0000 0.5000 0.0000
O1 O 0.1905 0.3096 0.8133
O2 O 0.2961 0.5000 0.2999
O3 O 0.3902 0.0000 0.3962
```

Top 6 peaks for 10° ≤ 2θ ≤ 80°, low angle first:
- (0 1 0), 11.71 deg, I 53
- (1 0 1), 24.92 deg, I 100
- (1 1 1), 27.62 deg, I 22
- (1 2 0), 29.53 deg, I 86
- (0 0 2), 35.54 deg, I 28
- (2 2 1), 46.85 deg, I 63

---

Entry 2:
K8RbO2: theoretical powder diffractogram (a wavelength of 1.5418 Å), based on a DFT-relaxed cell (PBE, Alexandria).

Structure:
```
data_K8RbO2
_space_group_name_H-M_alt 'C 1 2/m 1'
_space_group_IT_number 12
_cell_length_a 9.5629
_cell_length_b 13.0736
_cell_length_c 8.9910
_cell_angle_alpha 90.00
_cell_angle_beta 94.16
_cell_angle_gamma 90.00
loop_
_space_group_symop_operation_xyz
'x,y,z'
'-x,-y,-z'
'-x,y,-z'
'x,-y,z'
'x+1/2,y+1/2,z'
'-x+1/2,-y+1/2,-z'
'-x+1/2,y+1/2,-z'
'x+1/2,-y+1/2,z'
loop_
_atom_site_label
_atom_site_type_symbol
_atom_site_fract_x
_atom_site_fract_y
_atom_site_fract_z
K1 K 0.1164 0.2013 0.2329
K2 K 0.1232 0.5000 0.7136
K3 K 0.1536 0.0000 0.9195
Rb1 Rb 0.0000 0.0000 0.5000
O1 O 0.1102 0.0000 0.2099
```

Top 6 peaks for 10° ≤ 2θ ≤ 80°, low angle first:
- (1 1 0), 11.48 deg, I 100
- (0 2 0), 13.55 deg, I 42
- (2 2 -1), 24.61 deg, I 97
- (1 3 2), 30.55 deg, I 53
- (3 1 1), 31.28 deg, I 40
- (1 1 -3), 31.47 deg, I 51

---

Entry 3:
K8Rb4O: theoretical powder diffractogram (a wavelength of 1.5418 Å), based on a DFT-relaxed cell (PBE, Alexandria).

Structure:
```
data_K8Rb4O
_space_group_name_H-M_alt 'P m m 2'
_space_group_IT_number 25
_cell_length_a 5.5377
_cell_length_b 6.9033
_cell_length_c 23.0115
_cell_angle_alpha 90.00
_cell_angle_beta 90.00
_cell_angle_gamma 90.00
loop_
_space_group_symop_operation_xyz
'x,y,z'
'-x,-y,z'
'-x,y,z'
'x,-y,z'
loop_
_atom_site_label
_atom_site_type_symbol
_atom_site_fract_x
_atom_site_fract_y
_atom_site_fract_z
K1 K 0.0000 0.0000 0.0000
K2 K 0.0000 0.0000 0.3145
K3 K 0.0000 0.5000 0.1732
K4 K 0.0000 0.5000 0.4921
K5 K 0.5000 0.0000 0.4907
K6 K 0.5000 0.0000 0.8913
K7 K 0.5000 0.5000 0.0000
K8 K 0.5000 0.5000 0.6430
Rb1 Rb 0.0000 0.0000 0.6726
Rb2 Rb 0.0000 0.5000 0.8167
Rb3 Rb 0.5000 0.0000 0.1140
Rb4 Rb 0.5000 0.5000 0.3335
O1 O 0.5000 0.0000 0.9996
```

Top 6 peaks for 10° ≤ 2θ ≤ 80°, low angle first:
- (0 0 6), 23.21 deg, I 28
- (1 1 3), 23.64 deg, I 100
- (0 2 0), 25.81 deg, I 28
- (2 0 0), 32.34 deg, I 16
- (2 2 0), 41.82 deg, I 14
- (1 3 3), 44.23 deg, I 17

---

Entry 4:
KRb3O: theoretical powder diffractogram (a wavelength of 1.5418 Å), based on a DFT-relaxed cell (PBE, Alexandria).

Structure:
```
data_KRb3O
_space_group_name_H-M_alt 'P m m a'
_space_group_IT_number 51
_cell_length_a 11.9888
_cell_length_b 4.3485
_cell_length_c 10.1280
_cell_angle_alpha 90.00
_cell_angle_beta 90.00
_cell_angle_gamma 90.00
loop_
_space_group_symop_operation_xyz
'x,y,z'
'-x,-y,-z'
'-x+1/2,-y,z'
'x+1/2,y,-z'
'x+1/2,-y,-z'
'-x+1/2,y,z'
'-x,y,-z'
'x,-y,z'
loop_
_atom_site_label
_atom_site_type_symbol
_atom_site_fract_x
_atom_site_fract_y
_atom_site_fract_z
K1 K 0.2500 0.0000 0.0128
Rb1 Rb 0.0931 0.5000 0.7583
Rb2 Rb 0.2500 0.0000 0.4877
O1 O 0.2500 0.0000 0.7572
```

Top 6 peaks for 10° ≤ 2θ ≤ 80°, low angle first:
- (1 0 1), 11.44 deg, I 100
- (2 0 2), 22.99 deg, I 59
- (3 0 1), 23.94 deg, I 45
- (2 1 0), 25.30 deg, I 68
- (0 1 2), 27.03 deg, I 99
- (3 1 1), 31.67 deg, I 52

---

Entry 5:
K5Rb7O6: theoretical powder diffractogram (a wavelength of 1.5418 Å), based on a DFT-relaxed cell (PBE, Alexandria).

Structure:
```
data_K5Rb7O6
_space_group_name_H-M_alt 'A m m 2'
_space_group_IT_number 38
_cell_length_a 12.9353
_cell_length_b 9.3502
_cell_length_c 8.8125
_cell_angle_alpha 90.00
_cell_angle_beta 90.00
_cell_angle_gamma 90.00
loop_
_space_group_symop_operation_xyz
'x,y,z'
'-x,-y,z'
'-x,y,z'
'x,-y,z'
'x,y+1/2,z+1/2'
'-x,-y+1/2,z+1/2'
'-x,y+1/2,z+1/2'
'x,-y+1/2,z+1/2'
loop_
_atom_site_label
_atom_site_type_symbol
_atom_site_fract_x
_atom_site_fract_y
_atom_site_fract_z
K1 K 0.0000 0.0000 0.0000
K2 K 0.3352 0.0000 0.0040
K3 K 0.3348 0.0000 0.6280
Rb1 Rb 0.0000 0.0000 0.6219
Rb2 Rb 0.1684 0.1900 0.3073
Rb3 Rb 0.5000 0.1904 0.3169
O1 O 0.0000 0.0000 0.3018
O2 O 0.1708 0.0000 0.8195
O3 O 0.3338 0.0000 0.3173
O4 O 0.5000 0.0000 0.8152
```

Top 6 peaks for 10° ≤ 2θ ≤ 80°, low angle first:
- (0 0 2), 20.15 deg, I 41
- (0 2 2), 27.82 deg, I 49
- (3 2 0), 28.15 deg, I 92
- (3 0 2), 28.97 deg, I 100
- (0 3 1), 30.42 deg, I 56
- (3 3 3), 47.47 deg, I 62

---

Entry 6:
KRb7O3: theoretical powder diffractogram (a wavelength of 1.5418 Å), based on a DFT-relaxed cell (PBE, Alexandria).

Structure:
```
data_KRb7O3
_space_group_name_H-M_alt 'P 3 m 1'
_space_group_IT_number 156
_cell_length_a 8.4685
_cell_length_b 8.4685
_cell_length_c 7.8989
_cell_angle_alpha 90.00
_cell_angle_beta 90.00
_cell_angle_gamma 120.00
loop_
_space_group_symop_operation_xyz
'x,y,z'
'-y,x-y,z'
'-x+y,-x,z'
'-y,-x,z'
'-x+y,y,z'
'x,x-y,z'
loop_
_atom_site_label
_atom_site_type_symbol
_atom_site_fract_x
_atom_site_fract_y
_atom_site_fract_z
K1 K 0.0000 0.0000 0.0000
Rb1 Rb 0.0298 0.5149 0.9785
Rb2 Rb 0.3039 0.1519 0.3497
Rb3 Rb 0.3333 0.6667 0.3490
O1 O 0.1654 0.3307 0.1633
```

Top 6 peaks for 10° ≤ 2θ ≤ 80°, low angle first:
- (0 0 1), 11.20 deg, I 51
- (2 0 0), 24.27 deg, I 18
- (2 0 1), 26.80 deg, I 100
- (0 2 2), 33.34 deg, I 51
- (2 2 0), 42.71 deg, I 22
- (2 0 4), 52.64 deg, I 17

---

Entry 7:
K5Rb3O2: theoretical powder diffractogram (a wavelength of 1.5418 Å), based on a DFT-relaxed cell (PBE, Alexandria).

Structure:
```
data_K5Rb3O2
_space_group_name_H-M_alt 'C 1 2/c 1'
_space_group_IT_number 15
_cell_length_a 19.5638
_cell_length_b 12.6212
_cell_length_c 8.6621
_cell_angle_alpha 90.00
_cell_angle_beta 113.12
_cell_angle_gamma 90.00
loop_
_space_group_symop_operation_xyz
'x,y,z'
'-x,-y,-z'
'-x,y,-z+1/2'
'x,-y,z+1/2'
'x+1/2,y+1/2,z'
'-x+1/2,-y+1/2,-z'
'-x+1/2,y+1/2,-z+1/2'
'x+1/2,-y+1/2,z+1/2'
loop_
_atom_site_label
_atom_site_type_symbol
_atom_site_fract_x
_atom_site_fract_y
_atom_site_fract_z
K1 K 0.0000 0.0005 0.2500
K2 K 0.1235 0.2972 0.1170
K3 K 0.2137 0.5003 0.4500
Rb1 Rb 0.0000 0.4999 0.2500
Rb2 Rb 0.1256 0.2911 0.6191
O1 O 0.1266 0.4977 0.1224
```

Top 6 peaks for 10° ≤ 2θ ≤ 80°, low angle first:
- (4 2 0), 24.30 deg, I 91
- (2 2 -2), 24.96 deg, I 100
- (2 0 2), 27.83 deg, I 51
- (0 4 0), 28.28 deg, I 31
- (6 0 -2), 29.42 deg, I 48
- (8 0 0), 40.10 deg, I 33

---

Entry 8:
K3Rb2O4: theoretical powder diffractogram (a wavelength of 1.5418 Å), based on a DFT-relaxed cell (PBE, Alexandria).

Structure:
```
data_K3Rb2O4
_space_group_name_H-M_alt 'C 1 2/m 1'
_space_group_IT_number 12
_cell_length_a 9.1186
_cell_length_b 4.0113
_cell_length_c 11.2595
_cell_angle_alpha 90.00
_cell_angle_beta 97.43
_cell_angle_gamma 90.00
loop_
_space_group_symop_operation_xyz
'x,y,z'
'-x,-y,-z'
'-x,y,-z'
'x,-y,z'
'x+1/2,y+1/2,z'
'-x+1/2,-y+1/2,-z'
'-x+1/2,y+1/2,-z'
'x+1/2,-y+1/2,z'
loop_
_atom_site_label
_atom_site_type_symbol
_atom_site_fract_x
_atom_site_fract_y
_atom_site_fract_z
K1 K 0.0000 0.0000 0.0000
K2 K 0.1263 0.5000 0.3977
Rb1 Rb 0.1759 0.5000 0.8019
O1 O 0.0643 0.0000 0.5479
O2 O 0.1230 0.5000 0.1538
```

Top 6 peaks for 10° ≤ 2θ ≤ 80°, low angle first:
- (2 0 2), 26.93 deg, I 58
- (1 1 -2), 28.41 deg, I 100
- (2 0 -3), 29.04 deg, I 46
- (1 1 3), 35.25 deg, I 51
- (3 1 0), 37.32 deg, I 67
- (0 2 0), 45.21 deg, I 26

---

Entry 9:
K4Rb3O: theoretical powder diffractogram (a wavelength of 1.5418 Å), based on a DFT-relaxed cell (PBE, Alexandria).

Structure:
```
data_K4Rb3O
_space_group_name_H-M_alt 'I m m 2'
_space_group_IT_number 44
_cell_length_a 9.3354
_cell_length_b 12.4241
_cell_length_c 8.6443
_cell_angle_alpha 90.00
_cell_angle_beta 90.00
_cell_angle_gamma 90.00
loop_
_space_group_symop_operation_xyz
'x,y,z'
'-x,-y,z'
'-x,y,z'
'x,-y,z'
'x+1/2,y+1/2,z+1/2'
'-x+1/2,-y+1/2,z+1/2'
'-x+1/2,y+1/2,z+1/2'
'x+1/2,-y+1/2,z+1/2'
loop_
_atom_site_label
_atom_site_type_symbol
_atom_site_fract_x
_atom_site_fract_y
_atom_site_fract_z
K1 K 0.0000 0.1527 0.0000
K2 K 0.2229 0.5000 0.2748
Rb1 Rb 0.0000 0.1613 0.5366
Rb2 Rb 0.0000 0.5000 0.7792
O1 O 0.0000 0.0000 0.7788
```

Top 6 peaks for 10° ≤ 2θ ≤ 80°, low angle first:
- (1 0 1), 13.96 deg, I 61
- (2 0 0), 19.01 deg, I 59
- (1 3 0), 23.50 deg, I 100
- (1 1 2), 23.80 deg, I 95
- (0 2 2), 25.10 deg, I 63
- (0 4 2), 35.61 deg, I 45

---

Entry 10:
K5Rb4O: theoretical powder diffractogram (a wavelength of 1.5418 Å), based on a DFT-relaxed cell (PBE, Alexandria).

Structure:
```
data_K5Rb4O
_space_group_name_H-M_alt 'I 4/m m m'
_space_group_IT_number 139
_space_group_name_Hall '-I 4 2'
_cell_length_a 15.7803
_cell_length_b 15.7803
_cell_length_c 5.6622
_cell_angle_alpha 90.00
_cell_angle_beta 90.00
_cell_angle_gamma 90.00
loop_
_atom_site_label
_atom_site_type_symbol
_atom_site_fract_x
_atom_site_fract_y
_atom_site_fract_z
K1 K 0.0000 0.0000 0.0000
K2 K 0.1187 0.1187 0.5000
Rb1 Rb 0.0000 0.3294 0.0000
O1 O 0.0000 0.0000 0.5000
```

Top 6 peaks for 10° ≤ 2θ ≤ 80°, low angle first:
- (2 0 0), 11.21 deg, I 28
- (2 1 1), 20.11 deg, I 33
- (3 0 1), 23.08 deg, I 100
- (3 3 0), 23.92 deg, I 45
- (3 3 2), 40.02 deg, I 22
- (6 3 1), 41.57 deg, I 22

---

Entry 11:
KRb14O: theoretical powder diffractogram (a wavelength of 1.5418 Å), based on a DFT-relaxed cell (PBE, Alexandria).

Structure:
```
data_KRb14O
_space_group_name_H-M_alt 'A m m 2'
_space_group_IT_number 38
_cell_length_a 12.2563
_cell_length_b 13.8774
_cell_length_c 15.5938
_cell_angle_alpha 90.00
_cell_angle_beta 90.00
_cell_angle_gamma 90.00
loop_
_space_group_symop_operation_xyz
'x,y,z'
'-x,-y,z'
'-x,y,z'
'x,-y,z'
'x,y+1/2,z+1/2'
'-x,-y+1/2,z+1/2'
'-x,y+1/2,z+1/2'
'x,-y+1/2,z+1/2'
loop_
_atom_site_label
_atom_site_type_symbol
_atom_site_fract_x
_atom_site_fract_y
_atom_site_fract_z
K1 K 0.0000 0.0000 0.0000
Rb1 Rb 0.0000 0.1841 0.7872
Rb2 Rb 0.2046 0.0000 0.2737
Rb3 Rb 0.2196 0.2199 0.5380
Rb4 Rb 0.2221 0.0000 0.8138
Rb5 Rb 0.5000 0.0000 0.0449
Rb6 Rb 0.5000 0.0000 0.5486
Rb7 Rb 0.5000 0.2412 0.2921
O1 O 0.0000 0.0000 0.8386
```

Top 6 peaks for 10° ≤ 2θ ≤ 80°, low angle first:
- (1 2 2), 18.59 deg, I 16
- (2 2 2), 22.47 deg, I 100
- (0 0 4), 22.81 deg, I 29
- (0 4 0), 25.68 deg, I 15
- (0 4 4), 34.63 deg, I 14
- (2 2 6), 39.85 deg, I 18

---

Entry 12:
K2RbO: theoretical powder diffractogram (a wavelength of 1.5418 Å), based on a DFT-relaxed cell (PBE, Alexandria).

Structure:
```
data_K2RbO
_space_group_name_H-M_alt 'C 1 2 1'
_space_group_IT_number 5
_cell_length_a 7.6224
_cell_length_b 7.6198
_cell_length_c 5.7851
_cell_angle_alpha 90.00
_cell_angle_beta 90.09
_cell_angle_gamma 90.00
loop_
_space_group_symop_operation_xyz
'x,y,z'
'-x,y,-z'
'x+1/2,y+1/2,z'
'-x+1/2,y+1/2,-z'
loop_
_atom_site_label
_atom_site_type_symbol
_atom_site_fract_x
_atom_site_fract_y
_atom_site_fract_z
K1 K 0.2494 0.0000 0.4987
Rb1 Rb 0.0000 0.2519 0.0000
O1 O 0.0000 0.2506 0.5000
```

Top 6 peaks for 10° ≤ 2θ ≤ 80°, low angle first:
- (1 1 0), 16.45 deg, I 86
- (1 1 1), 22.55 deg, I 35
- (2 0 1), 28.04 deg, I 100
- (0 0 2), 30.91 deg, I 29
- (2 2 0), 33.25 deg, I 47
- (2 2 2), 46.04 deg, I 35

---

Entry 13:
K2RbO6: theoretical powder diffractogram (a wavelength of 1.5418 Å), based on a DFT-relaxed cell (PBE, Alexandria).

Structure:
```
data_K2RbO6
_space_group_name_H-M_alt 'I m m m'
_space_group_IT_number 71
_space_group_name_Hall '-I 2 2'
_cell_length_a 3.6468
_cell_length_b 6.0376
_cell_length_c 14.5556
_cell_angle_alpha 90.00
_cell_angle_beta 90.00
_cell_angle_gamma 90.00
loop_
_atom_site_label
_atom_site_type_symbol
_atom_site_fract_x
_atom_site_fract_y
_atom_site_fract_z
K1 K 0.0000 0.0000 0.1486
Rb1 Rb 0.0000 0.5000 0.0000
O1 O 0.0000 0.1115 0.3342
O2 O 0.0000 0.3860 0.5000
```

Top 6 peaks for 10° ≤ 2θ ≤ 80°, low angle first:
- (0 0 2), 12.16 deg, I 34
- (0 2 0), 29.59 deg, I 38
- (1 1 2), 31.18 deg, I 100
- (0 0 6), 37.06 deg, I 36
- (1 1 4), 37.98 deg, I 91
- (1 2 1), 39.23 deg, I 31